1.
Structure and theoretical powder XRD pattern of BaZr2SnO6 (a cell relaxed with GGA-PBE; Cu Ka).

Largest 6 diffraction maxima, in order of rising 2θ, 5 to 70 degrees two-theta:
2theta  d (Å)  intensity  h k l
29.88  2.990  100  2 2 0
36.82  2.441  6  2 2 2
42.77  2.114  32  4 0 0
48.12  1.891  1  4 2 0
53.05  1.726  41  4 2 2
62.09  1.495  20  4 4 0

Structure:
```
data_BaZr2SnO6
_space_group_name_H-M_alt 'P m -3 m'
_space_group_IT_number 221
_space_group_name_Hall '-P 4 2 3'
_cell_length_a 8.457
_cell_length_b 8.457
_cell_length_c 8.457
_cell_angle_alpha 90.00
_cell_angle_beta 90.00
_cell_angle_gamma 90.00
loop_
_atom_site_label
_atom_site_type_symbol
_atom_site_fract_x
_atom_site_fract_y
_atom_site_fract_z
_atom_site_occupancy
Ba1 Ba 0.000 0.000 0.000 1
Ba2 Ba 0.000 0.000 0.500 1
Zr1 Zr 0.251 0.251 0.251 1
Sn1 Sn 0.000 0.500 0.500 1
Sn2 Sn 0.500 0.500 0.500 1
O1 O 0.000 0.250 0.250 1
O2 O 0.250 0.250 0.500 1
```


2.
Structure and theoretical powder XRD pattern of BaZr2SnO6 (a cell relaxed with GGA-PBE; Cu Ka).

Largest 6 diffraction maxima, in order of rising 2θ, 5 to 70 degrees two-theta:
2theta  d (Å)  intensity  h k l
29.89  2.990  100  2 2 0
36.82  2.441  6  2 2 2
42.78  2.114  32  4 0 0
48.12  1.891  1  4 2 0
53.06  1.726  41  4 2 2
62.09  1.495  20  4 4 0

Structure:
```
data_BaZr2SnO6
_space_group_name_H-M_alt 'P 42/m m c'
_space_group_IT_number 131
_space_group_name_Hall '-P 4c 2'
_cell_length_a 8.456
_cell_length_b 8.456
_cell_length_c 8.456
_cell_angle_alpha 90.00
_cell_angle_beta 90.00
_cell_angle_gamma 90.00
loop_
_atom_site_label
_atom_site_type_symbol
_atom_site_fract_x
_atom_site_fract_y
_atom_site_fract_z
_atom_site_occupancy
Ba1 Ba 0.000 0.000 0.000 1
Ba2 Ba 0.000 0.500 0.000 1
Zr1 Zr 0.251 0.251 0.250 1
Sn1 Sn 0.000 0.500 0.500 1
Sn2 Sn 0.500 0.500 0.000 1
O1 O 0.000 0.250 0.250 1
O2 O 0.250 0.250 0.000 1
O3 O 0.250 0.500 0.250 1
```


3.
Structure and theoretical powder XRD pattern of BaZr2SnO6 (a cell relaxed with GGA-PBE; Cu Ka).

Largest 10 diffraction maxima, in order of rising 2θ, 5 to 70 degrees two-theta:
2theta  d (Å)  intensity  h k l
20.99  4.232  1  0 2 0
29.86  2.993  50  0 2 1
29.97  2.981  100  2 2 0
36.88  2.437  9  2 2 1
42.73  2.116  32  0 0 2
43.07  2.100  16  4 0 0
53.07  1.726  42  2 4 1
53.28  1.719  21  4 2 1
62.02  1.496  10  0 4 2
62.28  1.491  19  4 0 2

Structure:
```
data_BaZr2SnO6
_space_group_name_H-M_alt 'C m m m'
_space_group_IT_number 65
_space_group_name_Hall '-C 2 2'
_cell_length_a 8.402
_cell_length_b 8.458
_cell_length_c 4.236
_cell_angle_alpha 90.00
_cell_angle_beta 90.00
_cell_angle_gamma 90.00
loop_
_atom_site_label
_atom_site_type_symbol
_atom_site_fract_x
_atom_site_fract_y
_atom_site_fract_z
_atom_site_occupancy
Ba1 Ba 0.000 0.000 0.000 1
Zr1 Zr 0.250 0.250 0.500 1
Sn1 Sn 0.000 0.500 0.000 1
O1 O 0.000 0.225 0.500 1
O2 O 0.225 0.500 0.500 1
O3 O 0.250 0.250 0.000 1
```


4.
Structure and theoretical powder XRD pattern of BaZr2SnO6 (a cell relaxed with GGA-PBE; Cu Ka).

Largest 6 diffraction maxima, in order of rising 2θ, 5 to 70 degrees two-theta:
2theta  d (Å)  intensity  h k l
29.89  2.989  100  1 1 0
36.83  2.441  6  1 1 2
42.78  2.114  32  2 0 0
48.13  1.890  1  1 0 4
53.07  1.726  41  2 1 2
62.11  1.495  20  2 2 0

Structure:
```
data_BaZr2SnO6
_space_group_name_H-M_alt 'P 4/m m m'
_space_group_IT_number 123
_space_group_name_Hall '-P 4 2'
_cell_length_a 4.228
_cell_length_b 4.228
_cell_length_c 8.452
_cell_angle_alpha 90.00
_cell_angle_beta 90.00
_cell_angle_gamma 90.00
loop_
_atom_site_label
_atom_site_type_symbol
_atom_site_fract_x
_atom_site_fract_y
_atom_site_fract_z
_atom_site_occupancy
Ba1 Ba 0.000 0.000 0.000 1
Zr1 Zr 0.500 0.500 0.253 1
Sn1 Sn 0.000 0.000 0.500 1
O1 O 0.000 0.500 0.250 1
O2 O 0.500 0.500 0.000 1
O3 O 0.500 0.500 0.500 1
```


5.
Structure and theoretical powder XRD pattern of Ba3Sr4O7 (a cell relaxed with GGA-PBE; Cu Ka).

Largest 10 diffraction maxima, in order of rising 2θ, 5 to 70 degrees two-theta:
2theta  d (Å)  intensity  h k l
16.75  5.292  4  0 1 1
28.67  3.114  100  0 1 7
33.22  2.697  97  0 2 0
47.67  1.908  55  1 2 7
47.82  1.902  11  2 0 0
56.55  1.627  32  1 1 14
56.69  1.624  16  2 1 7
59.27  1.559  11  0 2 14
59.45  1.555  11  2 2 0
69.78  1.348  7  2 0 14

Structure:
```
data_Ba3Sr4O7
_space_group_name_H-M_alt 'I m m m'
_space_group_IT_number 71
_space_group_name_Hall '-I 2 2'
_cell_length_a 3.804
_cell_length_b 5.399
_cell_length_c 26.736
_cell_angle_alpha 90.00
_cell_angle_beta 90.00
_cell_angle_gamma 90.00
loop_
_atom_site_label
_atom_site_type_symbol
_atom_site_fract_x
_atom_site_fract_y
_atom_site_fract_z
_atom_site_occupancy
Ba1 Ba 0.000 0.000 0.000 1
Ba2 Ba 0.000 0.000 0.145 1
Sr1 Sr 0.000 0.000 0.285 1
Sr2 Sr 0.000 0.000 0.428 1
O1 O 0.000 0.500 0.000 1
O2 O 0.000 0.500 0.140 1
O3 O 0.000 0.500 0.278 1
O4 O 0.000 0.500 0.426 1
```


6.
Structure and theoretical powder XRD pattern of BaSrO2 (a cell relaxed with GGA-PBE; Cu Ka).

Largest 10 diffraction maxima, in order of rising 2θ, 5 to 70 degrees two-theta:
2theta  d (Å)  intensity  h k l
14.15  6.257  6  0 0 3
27.37  3.259  5  1 0 1
28.58  3.123  100  0 0 6
33.12  2.704  95  1 0 4
47.55  1.912  66  1 1 0
56.40  1.631  36  1 0 10
56.47  1.629  12  2 0 2
59.05  1.564  6  0 0 12
59.21  1.560  17  0 2 4
69.52  1.352  10  2 0 8

Structure:
```
data_BaSrO2
_space_group_name_H-M_alt 'R -3 m'
_space_group_IT_number 166
_space_group_name_Hall '-R 3 2"'
_cell_length_a 3.8212
_cell_length_b 3.8212
_cell_length_c 18.7710
_cell_angle_alpha 90.00
_cell_angle_beta 90.00
_cell_angle_gamma 120.00
loop_
_atom_site_label
_atom_site_type_symbol
_atom_site_fract_x
_atom_site_fract_y
_atom_site_fract_z
_atom_site_occupancy
Ba1 Ba 0.0000 0.0000 0.0000 1
Sr1 Sr 0.0000 0.0000 0.5000 1
O1 O 0.0000 0.0000 0.2445 1
```


7.
Structure and theoretical powder XRD pattern of BaSrO2 (a cell relaxed with GGA-PBE; Cu Ka).

Largest 10 diffraction maxima, in order of rising 2θ, 5 to 70 degrees two-theta:
2theta  d (Å)  intensity  h k l
16.33  5.428  5  0 0 1
23.15  3.842  5  1 0 0
28.46  3.136  100  1 0 1
32.98  2.716  96  1 1 0
37.00  2.429  3  1 1 1
40.70  2.217  2  1 0 2
47.34  1.920  67  2 0 0
56.17  1.638  47  2 1 1
58.90  1.568  22  2 0 2
69.19  1.358  10  2 2 0

Structure:
```
data_BaSrO2
_space_group_name_H-M_alt 'P 4/m m m'
_space_group_IT_number 123
_space_group_name_Hall '-P 4 2'
_cell_length_a 3.842
_cell_length_b 3.842
_cell_length_c 5.428
_cell_angle_alpha 90.00
_cell_angle_beta 90.00
_cell_angle_gamma 90.00
loop_
_atom_site_label
_atom_site_type_symbol
_atom_site_fract_x
_atom_site_fract_y
_atom_site_fract_z
_atom_site_occupancy
Ba1 Ba 0.000 0.000 0.000 1
Sr1 Sr 0.500 0.500 0.500 1
O1 O 0.000 0.000 0.500 1
O2 O 0.500 0.500 0.000 1
```


8.
Structure and theoretical powder XRD pattern of Ba3SrTa2O9 (a cell relaxed with GGA-PBE; Cu Ka).

Largest 10 diffraction maxima, in order of rising 2θ, 5 to 70 degrees two-theta:
2theta  d (Å)  intensity  h k l
28.88  3.091  100  0 1 2
29.67  3.011  96  1 1 0
41.88  2.157  55  2 0 2
50.68  1.801  20  1 0 4
52.16  1.753  39  1 2 2
52.65  1.738  20  3 0 0
59.84  1.546  17  0 2 4
61.60  1.505  18  2 2 0
68.20  1.375  18  2 1 4
69.44  1.354  17  3 1 2

Structure:
```
data_Ba3SrTa2O9
_space_group_name_H-M_alt 'P -3 m 1'
_space_group_IT_number 164
_space_group_name_Hall '-P 3 2"'
_cell_length_a 6.0219
_cell_length_b 6.0219
_cell_length_c 7.6768
_cell_angle_alpha 90.00
_cell_angle_beta 90.00
_cell_angle_gamma 120.00
loop_
_atom_site_label
_atom_site_type_symbol
_atom_site_fract_x
_atom_site_fract_y
_atom_site_fract_z
_atom_site_occupancy
Ba1 Ba 0.0000 0.0000 0.0000 1
Ba2 Ba 0.3333 0.6667 0.6950 1
Sr1 Sr 0.0000 0.0000 0.5000 1
Ta1 Ta 0.3333 0.6667 0.1656 1
O1 O 0.0000 0.5000 0.0000 1
O2 O 0.1779 0.3557 0.2993 1
```